[1]
Theoretical X-ray powder pattern of K4NaHg4 for Cu Kα X-rays, from a crystal structure in Alexandria, relaxed with PBE.
Neutral-atom scattering factors, no anomalous dispersion.

The 10 most intense peaks (10° ≤ 2θ ≤ 90°), most intense first:
- 2θ = 29.92°, d 2.986, rel. 100
- 2θ = 11.68°, d 7.578, rel. 65
- 2θ = 25.98°, d 3.430, rel. 57
- 2θ = 21.76°, d 4.085, rel. 44
- 2θ = 34.19°, d 2.622, rel. 37
- 2θ = 14.17°, d 6.250, rel. 32
- 2θ = 39.87°, d 2.261, rel. 24
- 2θ = 58.39°, d 1.580, rel. 23
- 2θ = 48.35°, d 1.883, rel. 23
- 2θ = 29.71°, d 3.007, rel. 22

Structural model:
Lattice parameters (Å, degrees): 8.9975 8.9975 8.9975 135.18 135.18 65.25
Sites, in units of the cell vectors:
K  0.0880  0.0880  0.5152
K  0.4272  0.9120  0.0000
K  0.5728  0.5728  0.4848
K  0.9120  0.4272  0.0000
Na  0.5000  0.5000  0.0000
Hg  0.1332  0.7371  0.0000
Hg  0.2629  0.2629  0.3962
Hg  0.7371  0.1332  0.0000
Hg  0.8668  0.8668  0.6038

---

[2]
Theoretical X-ray powder pattern of CeHoHgOs for Cu Kα X-rays, from a crystal structure in Alexandria, relaxed with PBE.
Neutral-atom scattering factors, no anomalous dispersion.

The 10 most intense peaks (10° ≤ 2θ ≤ 90°), most intense first:
- 2θ = 34.51°, d 2.599, rel. 100
- 2θ = 37.78°, d 2.381, rel. 43
- 2θ = 66.13°, d 1.413, rel. 31
- 2θ = 59.62°, d 1.551, rel. 15
- 2θ = 54.50°, d 1.684, rel. 15
- 2θ = 44.32°, d 2.044, rel. 9
- 2θ = 72.78°, d 1.299, rel. 9
- 2θ = 42.68°, d 2.118, rel. 5
- 2θ = 80.72°, d 1.190, rel. 5
- 2θ = 75.23°, d 1.263, rel. 5

Structural model:
Lattice parameters (Å, degrees): 3.3672 3.3672 8.1756 90.00 90.00 90.00
Sites, in units of the cell vectors:
Ce  0.0000  0.0000  0.0000
Ho  0.0000  0.0000  0.4262
Hg  0.5000  0.5000  0.6993
Os  0.5000  0.5000  0.2148

---

[3]
Theoretical X-ray powder pattern of NdPH2Ru2 for Cu Kα X-rays, from a crystal structure in Alexandria, relaxed with PBE.
Neutral-atom scattering factors, no anomalous dispersion.

The 10 most intense peaks (10° ≤ 2θ ≤ 90°), most intense first:
- 2θ = 36.28°, d 2.476, rel. 100
- 2θ = 23.88°, d 3.726, rel. 38
- 2θ = 45.33°, d 2.001, rel. 32
- 2θ = 34.56°, d 2.596, rel. 28
- 2θ = 35.08°, d 2.558, rel. 24
- 2θ = 58.58°, d 1.576, rel. 21
- 2θ = 63.72°, d 1.461, rel. 21
- 2θ = 77.69°, d 1.229, rel. 11
- 2θ = 77.82°, d 1.227, rel. 10
- 2θ = 50.07°, d 1.822, rel. 8

Structural model:
Lattice parameters (Å, degrees): 5.8444 5.8444 5.6656 90.00 90.00 122.18
Sites, in units of the cell vectors:
Nd  0.2433  0.7567  0.7500
Nd  0.7567  0.2433  0.2500
P  0.1108  0.8892  0.2500
P  0.8892  0.1108  0.7500
H  0.2329  0.4299  0.2500
H  0.4299  0.2329  0.7500
H  0.5701  0.7671  0.2500
H  0.7671  0.5701  0.7500
Ru  0.2645  0.2645  0.0000
Ru  0.2645  0.2645  0.5000
Ru  0.7355  0.7355  0.0000
Ru  0.7355  0.7355  0.5000

---

[4]
Theoretical X-ray powder pattern of La5CePmSm2 for Cu Kα X-rays, from a crystal structure in Alexandria, relaxed with PBE.
Neutral-atom scattering factors, no anomalous dispersion.

The 10 most intense peaks (10° ≤ 2θ ≤ 90°), most intense first:
- 2θ = 30.66°, d 2.916, rel. 100
- 2θ = 28.66°, d 3.115, rel. 89
- 2θ = 25.89°, d 3.442, rel. 26
- 2θ = 37.93°, d 2.372, rel. 23
- 2θ = 49.38°, d 1.846, rel. 21
- 2θ = 44.98°, d 2.015, rel. 19
- 2θ = 34.34°, d 2.612, rel. 19
- 2θ = 49.51°, d 1.841, rel. 14
- 2θ = 53.23°, d 1.721, rel. 12
- 2θ = 35.66°, d 2.518, rel. 11

Structural model:
Lattice parameters (Å, degrees): 8.2585 8.2585 9.4879 90.00 90.00 90.00
Sites, in units of the cell vectors:
La  0.0000  0.0000  0.0000
La  0.1927  0.3073  0.2749
La  0.1927  0.3073  0.7251
La  0.3073  0.8073  0.2749
La  0.3073  0.8073  0.7251
La  0.5000  0.5000  0.0000
La  0.6927  0.1927  0.2749
La  0.6927  0.1927  0.7251
La  0.8073  0.6927  0.2749
La  0.8073  0.6927  0.7251
Ce  0.0000  0.5000  0.5000
Ce  0.5000  0.0000  0.5000
Pm  0.0000  0.0000  0.5000
Pm  0.5000  0.5000  0.5000
Sm  0.1299  0.6299  0.0000
Sm  0.3701  0.1299  0.0000
Sm  0.6299  0.8701  0.0000
Sm  0.8701  0.3701  0.0000

---

[5]
Theoretical X-ray powder pattern of Cu4NiIr for Cu Kα X-rays, from a crystal structure in Alexandria, relaxed with PBE.
Neutral-atom scattering factors, no anomalous dispersion.

The 10 most intense peaks (10° ≤ 2θ ≤ 90°), most intense first:
- 2θ = 42.82°, d 2.112, rel. 100
- 2θ = 48.80°, d 1.866, rel. 34
- 2θ = 87.09°, d 1.119, rel. 25
- 2θ = 74.02°, d 1.281, rel. 17
- 2θ = 51.93°, d 1.761, rel. 15
- 2θ = 38.12°, d 2.361, rel. 12
- 2θ = 16.78°, d 5.283, rel. 12
- 2θ = 71.50°, d 1.320, rel. 10
- 2θ = 35.05°, d 2.560, rel. 8
- 2θ = 33.96°, d 2.640, rel. 8

Structural model:
Lattice parameters (Å, degrees): 2.6390 2.6390 10.5668 90.00 90.00 90.00
Sites, in units of the cell vectors:
Cu  0.0000  0.0000  0.1562
Cu  0.0000  0.0000  0.8438
Cu  0.5000  0.5000  0.3209
Cu  0.5000  0.5000  0.6791
Ni  0.5000  0.5000  0.0000
Ir  0.0000  0.0000  0.5000

---

[6]
Theoretical X-ray powder pattern of H2AuF6 for Cu Kα X-rays, from a crystal structure in Alexandria, relaxed with PBE.
Neutral-atom scattering factors, no anomalous dispersion.

The 10 most intense peaks (10° ≤ 2θ ≤ 90°), most intense first:
- 2θ = 14.31°, d 6.190, rel. 100
- 2θ = 19.45°, d 4.563, rel. 70
- 2θ = 25.91°, d 3.438, rel. 34
- 2θ = 21.85°, d 4.067, rel. 25
- 2θ = 31.01°, d 2.884, rel. 22
- 2θ = 31.25°, d 2.862, rel. 20
- 2θ = 44.82°, d 2.022, rel. 19
- 2θ = 38.77°, d 2.322, rel. 18
- 2θ = 31.82°, d 2.812, rel. 17
- 2θ = 36.03°, d 2.493, rel. 16

Structural model:
Lattice parameters (Å, degrees): 6.2587 6.2587 6.0440 97.14 97.14 84.56
Sites, in units of the cell vectors:
H  0.0821  0.1709  0.1281
H  0.1709  0.0821  0.6281
H  0.8291  0.9179  0.3719
H  0.9179  0.8291  0.8719
Au  0.3975  0.6025  0.7500
Au  0.6025  0.3975  0.2500
F  0.0836  0.2157  0.6170
F  0.1261  0.6509  0.8808
F  0.2157  0.0836  0.1170
F  0.3248  0.4549  0.3837
F  0.3491  0.8739  0.6192
F  0.4549  0.3248  0.8837
F  0.5451  0.6752  0.1163
F  0.6509  0.1261  0.3808
F  0.6752  0.5451  0.6163
F  0.7843  0.9164  0.8830
F  0.8739  0.3491  0.1192
F  0.9164  0.7843  0.3830

---

Repeat the fifth record exactly.
Theoretical X-ray powder pattern of Cu4NiIr for Cu Kα X-rays, from a crystal structure in Alexandria, relaxed with PBE.
Neutral-atom scattering factors, no anomalous dispersion.

The 10 most intense peaks (10° ≤ 2θ ≤ 90°), most intense first:
- 2θ = 42.82°, d 2.112, rel. 100
- 2θ = 48.80°, d 1.866, rel. 34
- 2θ = 87.09°, d 1.119, rel. 25
- 2θ = 74.02°, d 1.281, rel. 17
- 2θ = 51.93°, d 1.761, rel. 15
- 2θ = 38.12°, d 2.361, rel. 12
- 2θ = 16.78°, d 5.283, rel. 12
- 2θ = 71.50°, d 1.320, rel. 10
- 2θ = 35.05°, d 2.560, rel. 8
- 2θ = 33.96°, d 2.640, rel. 8

Structural model:
Lattice parameters (Å, degrees): 2.6390 2.6390 10.5668 90.00 90.00 90.00
Sites, in units of the cell vectors:
Cu  0.0000  0.0000  0.1562
Cu  0.0000  0.0000  0.8438
Cu  0.5000  0.5000  0.3209
Cu  0.5000  0.5000  0.6791
Ni  0.5000  0.5000  0.0000
Ir  0.0000  0.0000  0.5000